The following is a computed X-ray diffraction stick pattern of Cs3Na11. It was derived from a crystal structure in Alexandria, relaxed with GGA-PBE, using Cu Kα (weighted mean of Kα1 and Kα2).

Principal peaks in the range 10 to 80 degrees two-theta, in order of rising 2θ:
15.98°, rel. 42
16.28°, rel. 31
20.80°, rel. 33
24.85°, rel. 100
25.11°, rel. 28
29.24°, rel. 24

```
data_Cs3Na11
_cell_length_a 6.1078
_cell_length_b 13.2258
_cell_length_c 17.9177
_cell_angle_alpha 90.00
_cell_angle_beta 90.00
_cell_angle_gamma 90.00
_symmetry_space_group_name_H-M 'I m m m'
_symmetry_Int_Tables_number 71
_symmetry_space_group_name_Hall '-I 2 2'
loop_
_atom_site_label
_atom_site_type_symbol
_atom_site_fract_x
_atom_site_fract_y
_atom_site_fract_z
Cs1 Cs 0.0000 0.0000 0.0000
Cs2 Cs 0.0000 0.0000 0.3029
Na1 Na 0.0000 0.1994 0.5000
Na2 Na 0.0000 0.2824 0.1211
Na3 Na 0.0000 0.3472 0.3245
Na4 Na 0.0000 0.5000 0.0000
```